No. 1
Theoretical XRD peak list of MgMnRe2 for Cu Kα (weighted mean of Kα1 and Kα2), from a cell relaxed with GGA-PBE.
No peak broadening, texture or thermal motion is included.

Most intense lines, 2θ = 5–70°, by intensity:
d (Å), 2θ/deg, I (rel.), h k l
8.850, 10.0, 100, 0 0 1
2.201, 41.0, 65, 1 1 2
2.232, 40.4, 17, 0 2 0
2.439, 36.9, 17, 1 1 1
2.212, 40.8, 16, 0 0 4
1.924, 47.3, 12, 1 1 3
1.571, 58.8, 11, 0 2 4
2.164, 41.7, 7, 0 2 1
2.950, 30.3, 7, 0 0 3
1.542, 60.0, 5, 2 0 0
1.452, 64.2, 3, 1 1 5
1.780, 51.3, 3, 0 2 3

Crystal structure
Unit cell a=3.084 b=4.464 c=8.850 alpha=90.00 beta=90.00 gamma=90.00
Space group Cmm2 (No. 35)
Asymmetric unit:
Mg: 0.000 0.000 0.000 x2
Mn: 0.000 0.500 0.740 x2
Re: 0.000 0.000 0.515 x2
Re: 0.000 0.500 0.267 x2

***

No. 2
Theoretical XRD peak list of MgMn5S8 for Cu Kα (weighted mean of Kα1 and Kα2), from a cell relaxed with GGA-PBE.
No peak broadening, texture or thermal motion is included.

Most intense lines, 2θ = 5–70°, by intensity:
d (Å), 2θ/deg, I (rel.), h k l
1.815, 50.3, 100, 4 4 0
3.096, 28.8, 92, 3 1 1
2.567, 35.0, 80, 4 0 0
1.976, 45.9, 50, 5 1 1
5.928, 14.9, 41, 1 1 1
3.630, 24.5, 20, 2 2 0
1.482, 62.7, 15, 4 4 4
1.566, 59.0, 11, 5 3 3
1.735, 52.7, 7, 5 3 1
2.096, 43.2, 7, 4 2 2
1.438, 64.9, 6, 5 5 1
1.372, 68.4, 4, 6 4 2

Crystal structure
Unit cell a=10.267 b=10.267 c=10.267 alpha=90.00 beta=90.00 gamma=90.00
Space group F-43m (No. 216)
Asymmetric unit:
Mg: 0.000 0.000 0.000 x4
Mn: 0.126 0.126 0.374 x16
Mn: 0.250 0.250 0.750 x4
S: 0.116 0.116 0.616 x16
S: 0.136 0.136 0.136 x16

***

No. 3
Theoretical XRD peak list of MgMn4S8 for Cu Kα (weighted mean of Kα1 and Kα2), from a cell relaxed with GGA-PBE.
No peak broadening, texture or thermal motion is included.

Most intense lines, 2θ = 5–70°, by intensity:
d (Å), 2θ/deg, I (rel.), h k l
2.471, 36.4, 100, 0 2 4
6.196, 14.3, 98, 0 0 3
1.818, 50.2, 32, 2 0 8
1.685, 54.5, 29, 2 2 0
1.964, 46.2, 21, 0 2 7
2.883, 31.0, 20, 0 2 1
1.392, 67.3, 14, 4 0 4
1.626, 56.6, 13, 2 2 3
1.462, 63.6, 10, 2 0 11
1.549, 59.7, 5, 0 0 12
5.568, 15.9, 4, 1 0 1
2.295, 39.2, 3, 2 0 5

Crystal structure
Unit cell a=6.7394 b=6.7394 c=18.5866 alpha=90.00 beta=90.00 gamma=120.00
Space group R-3m (No. 166, hexagonal axes)
Asymmetric unit:
Mg: 0.0000 0.0000 0.0000 x3
Mn: 0.0000 0.0000 0.5000 x3
Mn: 0.0000 0.5000 0.5000 x9
S: 0.0000 0.0000 0.2369 x6
S: 0.0070 0.5035 0.7615 x18

***

No. 4
Theoretical XRD peak list of MgMn4S7 for Cu Kα (weighted mean of Kα1 and Kα2), from a cell relaxed with GGA-PBE.
No peak broadening, texture or thermal motion is included.

Most intense lines, 2θ = 5–70°, by intensity:
d (Å), 2θ/deg, I (rel.), h k l
2.639, 34.0, 100, 1 0 4
1.764, 51.8, 37, 1 1 0
6.977, 12.7, 31, 0 0 3
2.299, 39.2, 26, 1 0 6
10.466, 8.4, 25, 0 0 2
1.727, 53.0, 22, 0 1 10
1.988, 45.6, 21, 0 1 8
5.233, 16.9, 16, 0 0 4
1.467, 63.4, 14, 0 2 4
4.186, 21.2, 11, 0 0 5
2.137, 42.3, 10, 1 0 7
3.024, 29.5, 6, 0 1 1

Crystal structure
Unit cell a=3.5289 b=3.5289 c=20.9319 alpha=90.00 beta=90.00 gamma=120.00
Space group P-3m1 (No. 164)
Asymmetric unit:
Mg: 0.0000 0.0000 0.0000 x1
Mn: 0.3333 0.6667 0.1507 x2
Mn: 0.3333 0.6667 0.4251 x2
S: 0.0000 0.0000 0.2082 x2
S: 0.0000 0.0000 0.5000 x1
S: 0.3333 0.6667 0.6316 x2
S: 0.3333 0.6667 0.9252 x2

***

No. 5
Theoretical XRD peak list of MgMnSiS4 for Cu Kα (weighted mean of Kα1 and Kα2), from a cell relaxed with GGA-PBE.
No peak broadening, texture or thermal motion is included.

Most intense lines, 2θ = 5–70°, by intensity:
d (Å), 2θ/deg, I (rel.), h k l
1.797, 50.8, 100, 2 2 4
2.546, 35.3, 92, 2 2 0
3.061, 29.2, 91, 2 1 1
2.537, 35.4, 45, 0 0 4
5.897, 15.0, 28, 0 1 1
1.812, 50.4, 26, 0 4 0
1.789, 51.0, 25, 4 0 0
1.965, 46.2, 20, 0 3 3
3.080, 29.0, 19, 1 2 1
1.474, 63.1, 14, 0 4 4
1.462, 63.6, 14, 4 0 4
3.623, 24.6, 13, 0 2 0

Crystal structure
Unit cell a=7.156 b=7.246 c=10.147 alpha=90.00 beta=90.00 gamma=90.00
Space group Imma (No. 74)
Asymmetric unit:
Mg: 0.000 0.000 0.000 x4
Mn: 0.250 0.250 0.250 x4
Si: 0.000 0.250 0.625 x4
S: 0.000 0.001 0.746 x8
S: 0.247 0.250 0.499 x8

***

No. 6
Theoretical XRD peak list of MgMnVS4 for Cu Kα (weighted mean of Kα1 and Kα2), from a cell relaxed with GGA-PBE.
No peak broadening, texture or thermal motion is included.

Most intense lines, 2θ = 5–70°, by intensity:
d (Å), 2θ/deg, I (rel.), h k l
2.525, 35.6, 100, 2 2 0
1.827, 49.9, 100, 2 2 4
5.879, 15.1, 57, 1 0 1
2.648, 33.9, 57, 0 0 4
5.964, 14.9, 55, 0 1 1
3.075, 29.0, 41, 1 2 1
3.040, 29.4, 35, 2 1 1
2.031, 44.6, 27, 0 1 5
1.767, 51.7, 27, 4 0 0
1.804, 50.6, 25, 0 4 0
1.939, 46.8, 23, 3 2 1
3.158, 28.3, 21, 1 0 3

Crystal structure
Unit cell a=7.068 b=7.216 c=10.592 alpha=90.00 beta=90.00 gamma=90.00
Space group Imm2 (No. 44)
Asymmetric unit:
Mg: 0.000 0.000 0.000 x2
Mg: 0.000 0.500 0.246 x2
Mn: 0.000 0.255 0.638 x4
V: 0.229 0.000 0.380 x4
S: 0.000 0.241 0.395 x4
S: 0.000 0.281 0.872 x4
S: 0.223 0.000 0.612 x4
S: 0.235 0.500 0.650 x4

***

Question: What is the formula in the second record?
Answer: MgMn5S8